Computed X-ray powder pattern
Compound: B5H9
Radiation: Cu Kα X-rays
Structure: a structure optimized by DFT (GGA-PBE)

Structural model:
a = 5.810 Å, b = 5.810 Å, c = 5.810 Å
α = 102.16°, β = 102.16°, γ = 125.36°
Sites, in units of the cell vectors:
1 B 0.000 0.000 0.000
2 B 0.615 0.788 0.827
3 B 0.788 0.615 0.827
4 B 0.788 0.961 0.173
5 B 0.961 0.788 0.173
6 H 0.150 0.815 0.334
7 H 0.223 0.223 0.000
8 H 0.481 0.815 0.666
9 H 0.487 0.487 0.733
10 H 0.487 0.754 0.000
11 H 0.754 0.487 0.000
12 H 0.754 0.754 0.267
13 H 0.815 0.150 0.334
14 H 0.815 0.481 0.666

Main lines, sorted by position (2θ = 10–80°):
two_theta  I_rel
17.2  63
20.6  100
24.4  12
32.1  5
33.6  5
40.8  2
48.1  8
49.1  4
64.4  3
66.4  3
67.2  2
70.5  3